(1)
Starting from the PBE geometry in the Materials Project, the PXRD pattern of Na2SnGe2H2O8 was simulated for copper Kα.
Peak positions follow from Bragg's law for the DFT cell and can differ from measured ones.

Largest 6 diffraction maxima, low angle first, 10 to 80 degrees two-theta:
- 2θ 16.95, rel. 100
- 2θ 17.27, rel. 56
- 2θ 22.02, rel. 81
- 2θ 28.30, rel. 58
- 2θ 32.84, rel. 60
- 2θ 33.02, rel. 68

Structural model:
Cell: 5.6778 5.9511 11.4748 Å, 87.62 80.51 75.49°
Fractional positions:
Na: 0.0024 0.3194 0.1467
Na: 0.2824 0.8878 0.5640
Na: 0.7176 0.1122 0.4360
Na: 0.9976 0.6806 0.8533
Sn: 0.0000 0.5000 0.5000
Sn: 0.5000 0.5000 0.0000
Ge: 0.1822 0.7762 0.2512
Ge: 0.3293 0.0617 0.8714
Ge: 0.6706 0.9383 0.1286
Ge: 0.8178 0.2238 0.7488
H: 0.2790 0.4193 0.6565
H: 0.2921 0.1896 0.3628
H: 0.7079 0.8104 0.6372
H: 0.7210 0.5807 0.3435
O: 0.1315 0.0688 0.7616
O: 0.1495 0.5580 0.6475
O: 0.1768 0.7378 0.4028
O: 0.2501 0.3304 0.9450
O: 0.2822 0.8207 0.9564
O: 0.2956 0.2229 0.4455
O: 0.2956 0.5242 0.1664
O: 0.3595 0.9911 0.2093
O: 0.6405 0.0089 0.7907
O: 0.7044 0.4758 0.8336
O: 0.7044 0.7771 0.5545
O: 0.7178 0.1793 0.0436
O: 0.7499 0.6696 0.0550
O: 0.8232 0.2622 0.5972
O: 0.8505 0.4420 0.3525
O: 0.8685 0.9312 0.2384

***

(2)
Starting from the PBE geometry in the Materials Project, the PXRD pattern of KHg3 was simulated for copper Kα.
Peak positions follow from Bragg's law for the DFT cell and can differ from measured ones.

Largest 6 diffraction maxima, low angle first, 10 to 80 degrees two-theta:
- 2θ 19.20, rel. 13
- 2θ 31.61, rel. 100
- 2θ 45.30, rel. 19
- 2θ 56.29, rel. 39
- 2θ 66.00, rel. 12
- 2θ 75.02, rel. 17

Structural model:
Cell: 5.6618 5.6618 5.6618 Å, 60.00 60.00 60.00°
Fractional positions:
K: 0.0000 0.0000 0.0000
Hg: 0.2500 0.2500 0.2500
Hg: 0.5000 0.5000 0.5000
Hg: 0.7500 0.7500 0.7500

***

(3)
Starting from the PBE geometry in the Materials Project, the PXRD pattern of Th2Al7 was simulated for copper Kα.
Peak positions follow from Bragg's law for the DFT cell and can differ from measured ones.

Largest 6 diffraction maxima, low angle first, 10 to 80 degrees two-theta:
- 2θ 15.96, rel. 100
- 2θ 27.01, rel. 95
- 2θ 32.23, rel. 70
- 2θ 35.17, rel. 48
- 2θ 35.47, rel. 70
- 2θ 39.17, rel. 58

Structural model:
Cell: 5.8698 11.4910 5.5532 Å, 90.00 90.00 90.00°
Fractional positions:
Th: 0.1439 0.1473 0.0000
Th: 0.3561 0.6473 0.0000
Th: 0.6439 0.3527 0.0000
Th: 0.8561 0.8527 0.0000
Al: 0.0000 0.0000 0.5000
Al: 0.0972 0.7483 0.5000
Al: 0.1476 0.4087 0.2378
Al: 0.1476 0.4087 0.7622
Al: 0.3524 0.9087 0.2378
Al: 0.3524 0.9087 0.7622
Al: 0.4028 0.2483 0.5000
Al: 0.5000 0.5000 0.5000
Al: 0.5972 0.7517 0.5000
Al: 0.6476 0.0913 0.2378
Al: 0.6476 0.0913 0.7622
Al: 0.8524 0.5913 0.2378
Al: 0.8524 0.5913 0.7622
Al: 0.9028 0.2517 0.5000

***

(4)
Starting from the PBE geometry in the Materials Project, the PXRD pattern of NdMg12 was simulated for copper Kα.
Peak positions follow from Bragg's law for the DFT cell and can differ from measured ones.

Largest 6 diffraction maxima, low angle first, 10 to 80 degrees two-theta:
- 2θ 12.24, rel. 48
- 2θ 17.10, rel. 45
- 2θ 24.45, rel. 71
- 2θ 30.13, rel. 57
- 2θ 34.60, rel. 66
- 2θ 34.97, rel. 100

Structural model:
Cell: 7.8332 7.8332 7.8332 Å, 98.48 98.48 134.85°
Fractional positions:
Nd: 0.0000 0.0000 0.0000
Mg: 0.0000 0.0000 0.5000
Mg: 0.0000 0.3530 0.3530
Mg: 0.0000 0.5000 0.0000
Mg: 0.0000 0.6470 0.6470
Mg: 0.2832 0.5000 0.7832
Mg: 0.3530 0.0000 0.3530
Mg: 0.5000 0.0000 0.0000
Mg: 0.5000 0.2832 0.7832
Mg: 0.5000 0.5000 0.5000
Mg: 0.5000 0.7168 0.2168
Mg: 0.6470 0.0000 0.6470
Mg: 0.7168 0.5000 0.2168